Diffraction record for Ba6Ag5Pb. The XRD peak list is computed, not measured: it uses DFT lattice parameters and positions (PBE) and CuKα.

Top 12 peaks for 2θ from 10° to 90°, by angle:
d = 2.949 Å, 2θ 30.31, I 100.0; d = 2.928 Å, 2θ 30.53, I 19.7; d = 2.098 Å, 2θ 43.13, I 7.5; d = 2.075 Å, 2θ 43.62, I 14.5; d = 1.708 Å, 2θ 53.67, I 7.8; d = 1.705 Å, 2θ 53.76, I 7.8; d = 1.700 Å, 2θ 53.94, I 15.3; d = 1.695 Å, 2θ 54.12, I 15.2; d = 1.475 Å, 2θ 63.01, I 9.6; d = 1.325 Å, 2θ 71.15, I 6.7; d = 1.314 Å, 2θ 71.85, I 9.7; d = 1.112 Å, 2θ 87.80, I 8.0

Structural model:
```
Ba6Ag5Pb
1.0
-2.9280 4.1951 8.8236
2.9280 -4.1951 8.8236
2.9280 4.1951 -8.8236
Ba Ag Pb
6 5 1
Direct
0.0819 0.3328 0.7491
0.2454 0.0000 0.2454
0.4163 0.6672 0.7491
0.5837 0.3328 0.2509
0.7546 0.0000 0.7546
0.9181 0.6672 0.2509
0.0000 0.5000 0.5000
0.1683 0.1683 0.0000
0.3355 0.8355 0.5000
0.6645 0.1645 0.5000
0.8317 0.8317 0.0000
0.5000 0.5000 0.0000
```